Entry 1:
Structure and computed PXRD pattern of Mg3Hg3Bi2 (DFT lattice parameters and positions (GGA-PBE); CuKα).
No peak broadening, texture or thermal motion is included.

Top 10 peaks for 2θ from 5° to 70°, in order of rising 2θ:
19.27 deg, rel. 43; 23.03 deg, rel. 25; 26.57 deg, rel. 57; 27.97 deg, rel. 27; 29.93 deg, rel. 47; 34.04 deg, rel. 63; 34.19 deg, rel. 100; 36.41 deg, rel. 28; 36.75 deg, rel. 26; 45.95 deg, rel. 19

Crystal structure
```
Mg3Hg3Bi2
1.0
3.411 0.000 0.000
0.000 12.762 0.000
-1.620 0.000 9.211
Mg Hg Bi
6 6 4
Direct
0.102 0.039 0.210 Mg
0.102 0.461 0.210 Mg
0.107 0.750 0.223 Mg
0.893 0.250 0.777 Mg
0.898 0.539 0.790 Mg
0.898 0.961 0.790 Mg
0.367 0.750 0.760 Hg
0.476 0.117 0.955 Hg
0.476 0.383 0.955 Hg
0.524 0.617 0.045 Hg
0.524 0.883 0.045 Hg
0.633 0.250 0.240 Hg
0.274 0.120 0.533 Bi
0.274 0.380 0.533 Bi
0.726 0.620 0.467 Bi
0.726 0.880 0.467 Bi
```

Entry 2:
Structure and computed PXRD pattern of DyIn4Pt4 (DFT lattice parameters and positions (GGA-PBE); CuKα).
No peak broadening, texture or thermal motion is included.

Top 10 peaks for 2θ from 5° to 70°, in order of rising 2θ:
8.79 deg, rel. 7; 17.64 deg, rel. 9; 22.26 deg, rel. 26; 28.54 deg, rel. 8; 34.94 deg, rel. 7; 38.60 deg, rel. 96; 39.06 deg, rel. 100; 42.48 deg, rel. 7; 56.08 deg, rel. 33; 69.53 deg, rel. 9

Crystal structure
```
DyIn4Pt4
1.0
4.612 0.000 0.000
-2.306 3.994 0.000
0.000 0.000 20.116
Dy In Pt
2 8 8
Direct
0.333 0.667 0.250 Dy
0.667 0.333 0.750 Dy
0.000 0.000 0.142 In
0.000 0.000 0.358 In
0.000 0.000 0.642 In
0.000 0.000 0.858 In
0.333 0.667 0.542 In
0.333 0.667 0.958 In
0.667 0.333 0.042 In
0.667 0.333 0.458 In
0.333 0.667 0.095 Pt
0.333 0.667 0.405 Pt
0.333 0.667 0.681 Pt
0.333 0.667 0.819 Pt
0.667 0.333 0.181 Pt
0.667 0.333 0.319 Pt
0.667 0.333 0.595 Pt
0.667 0.333 0.905 Pt
```

Entry 3:
Structure and computed PXRD pattern of Pm8Al2Cd (DFT lattice parameters and positions (GGA-PBE); CuKα).
No peak broadening, texture or thermal motion is included.

Top 10 peaks for 2θ from 5° to 70°, in order of rising 2θ:
22.86 deg, rel. 16; 27.57 deg, rel. 16; 28.91 deg, rel. 38; 31.23 deg, rel. 100; 31.64 deg, rel. 89; 32.17 deg, rel. 18; 35.72 deg, rel. 81; 37.89 deg, rel. 16; 51.41 deg, rel. 25; 61.37 deg, rel. 18

Crystal structure
```
Pm8Al2Cd
1.0
8.795 -2.514 0.000
8.795 2.514 0.000
-2.473 0.000 7.464
Pm Al Cd
8 2 1
Direct
0.037 0.037 0.242 Pm
0.178 0.178 0.760 Pm
0.328 0.328 0.568 Pm
0.399 0.399 0.039 Pm
0.601 0.601 0.961 Pm
0.672 0.672 0.432 Pm
0.822 0.822 0.240 Pm
0.963 0.963 0.758 Pm
0.207 0.207 0.180 Al
0.793 0.793 0.820 Al
0.500 0.500 0.500 Cd
```